# CaNi2O4
Simulated PXRD pattern, CuKα. Input: the PBE+U geometry in the Materials Project.
Intensities are scaled so that the largest is 100.

Peak list (10 most intense, 15 to 90 degrees two-theta, low angle first)
- d = 5.505 Å, 16.10°, I = 100
- d = 2.752 Å, 32.53°, I = 21
- d = 2.571 Å, 34.89°, I = 15
- d = 2.500 Å, 35.92°, I = 11
- d = 2.495 Å, 36.00°, I = 13
- d = 2.330 Å, 38.65°, I = 21
- d = 2.309 Å, 39.02°, I = 20
- d = 2.242 Å, 40.22°, I = 18
- d = 1.887 Å, 48.24°, I = 23
- d = 1.429 Å, 65.31°, I = 12

Lattice parameters (Å, degrees): 5.143 5.721 11.021 92.54 90.11 90.12
Positions (direct):
Ca (0.000, 0.000, 0.000)
Ca (0.092, 0.493, 0.500)
Ca (0.388, 0.499, 0.000)
Ca (0.705, 0.993, 0.500)
Ni (0.040, 0.496, 0.757)
Ni (0.041, 0.497, 0.243)
Ni (0.052, 0.995, 0.257)
Ni (0.052, 0.997, 0.743)
Ni (0.546, 0.246, 0.250)
Ni (0.546, 0.246, 0.750)
Ni (0.546, 0.746, 0.250)
Ni (0.546, 0.746, 0.750)
O (0.192, 0.735, 0.855)
O (0.194, 0.259, 0.144)
O (0.196, 0.230, 0.853)
O (0.197, 0.763, 0.146)
O (0.374, 0.488, 0.666)
O (0.375, 0.505, 0.334)
O (0.391, 0.007, 0.340)
O (0.393, 0.987, 0.659)
O (0.700, 0.506, 0.841)
O (0.701, 0.486, 0.160)
O (0.717, 0.005, 0.835)
O (0.718, 0.988, 0.166)
O (0.895, 0.729, 0.354)
O (0.897, 0.261, 0.647)
O (0.898, 0.233, 0.356)
O (0.899, 0.758, 0.645)



# Ca2Ni3O8
Simulated PXRD pattern, CuKα. Input: the PBE+U geometry in the Materials Project.
Intensities are scaled so that the largest is 100.

Peak list (10 most intense, 15 to 90 degrees two-theta, low angle first)
- d = 5.161 Å, 17.18°, I = 100
- d = 5.073 Å, 17.48°, I = 26
- d = 4.225 Å, 21.03°, I = 25
- d = 3.178 Å, 28.07°, I = 46
- d = 2.904 Å, 30.78°, I = 40
- d = 2.398 Å, 37.51°, I = 45
- d = 1.966 Å, 46.18°, I = 50
- d = 1.896 Å, 47.97°, I = 25
- d = 1.644 Å, 55.92°, I = 29
- d = 1.431 Å, 65.19°, I = 27

Lattice parameters (Å, degrees): 6.200 6.200 4.932 107.10 107.10 56.03
Positions (direct):
Ca (0.222, 0.222, 0.163)
Ca (0.778, 0.778, 0.837)
Ni (0.247, 0.753, 0.500)
Ni (0.500, 0.500, 0.000)
Ni (0.753, 0.247, 0.500)
O (0.101, 0.101, 0.462)
O (0.180, 0.621, 0.112)
O (0.379, 0.820, 0.888)
O (0.406, 0.406, 0.600)
O (0.594, 0.594, 0.400)
O (0.621, 0.180, 0.112)
O (0.820, 0.379, 0.888)
O (0.899, 0.899, 0.538)



# CaNiO2
Simulated PXRD pattern, CuKα. Input: the PBE+U geometry in the Materials Project.
Intensities are scaled so that the largest is 100.

Peak list (10 most intense, 15 to 90 degrees two-theta, low angle first)
- d = 4.571 Å, 19.42°, I = 53
- d = 4.232 Å, 20.99°, I = 33
- d = 4.180 Å, 21.25°, I = 31
- d = 3.290 Å, 27.11°, I = 56
- d = 2.787 Å, 32.12°, I = 61
- d = 2.759 Å, 32.46°, I = 100
- d = 2.661 Å, 33.68°, I = 61
- d = 2.641 Å, 33.95°, I = 61
- d = 2.618 Å, 34.25°, I = 36
- d = 1.984 Å, 45.73°, I = 62

Lattice parameters (Å, degrees): 3.022 8.543 9.332 81.66 80.71 80.35
Positions (direct):
Ca (0.085, 0.141, 0.185)
Ca (0.340, 0.238, 0.565)
Ca (0.660, 0.762, 0.435)
Ca (0.915, 0.859, 0.815)
Ni (0.215, 0.198, 0.869)
Ni (0.368, 0.456, 0.303)
Ni (0.632, 0.544, 0.697)
Ni (0.785, 0.802, 0.131)
O (0.094, 0.694, 0.631)
O (0.177, 0.406, 0.737)
O (0.178, 0.887, 0.281)
O (0.351, 0.815, 0.984)
O (0.649, 0.185, 0.016)
O (0.822, 0.113, 0.719)
O (0.823, 0.594, 0.263)
O (0.906, 0.306, 0.369)



# CaNi4O8
Simulated PXRD pattern, CuKα. Input: the PBE+U geometry in the Materials Project.
Intensities are scaled so that the largest is 100.

Peak list (10 most intense, 15 to 90 degrees two-theta, low angle first)
- d = 4.492 Å, 19.76°, I = 51
- d = 2.980 Å, 29.99°, I = 54
- d = 2.899 Å, 30.85°, I = 56
- d = 2.462 Å, 36.50°, I = 36
- d = 2.429 Å, 37.02°, I = 100
- d = 2.408 Å, 37.34°, I = 31
- d = 2.396 Å, 37.54°, I = 45
- d = 1.754 Å, 52.15°, I = 47
- d = 1.496 Å, 62.02°, I = 45
- d = 1.339 Å, 70.28°, I = 30

Lattice parameters (Å, degrees): 6.608 6.608 8.994 130.24 130.24 26.17
Positions (direct):
Ca (0.000, 0.000, 0.000)
Ni (0.180, 0.180, 0.504)
Ni (0.371, 0.371, 0.215)
Ni (0.700, 0.700, 0.859)
Ni (0.892, 0.892, 0.565)
O (0.080, 0.080, 0.785)
O (0.341, 0.341, 0.977)
O (0.381, 0.381, 0.703)
O (0.404, 0.404, 0.448)
O (0.682, 0.682, 0.636)
O (0.691, 0.691, 0.369)
O (0.736, 0.736, 0.102)
O (0.992, 0.992, 0.292)



# Ca2Ni9O13
Simulated PXRD pattern, CuKα. Input: the PBE+U geometry in the Materials Project.
Intensities are scaled so that the largest is 100.

Peak list (10 most intense, 15 to 90 degrees two-theta, low angle first)
- d = 2.555 Å, 35.12°, I = 100
- d = 2.533 Å, 35.44°, I = 82
- d = 2.497 Å, 35.97°, I = 50
- d = 2.462 Å, 36.50°, I = 58
- d = 2.191 Å, 41.20°, I = 41
- d = 2.156 Å, 41.90°, I = 58
- d = 2.127 Å, 42.50°, I = 92
- d = 2.075 Å, 43.62°, I = 59
- d = 2.036 Å, 44.50°, I = 63
- d = 1.507 Å, 61.55°, I = 50

Lattice parameters (Å, degrees): 5.149 5.149 16.552 98.72 98.72 34.03
Positions (direct):
Ca (0.217, 0.217, 0.231)
Ca (0.783, 0.783, 0.769)
Ni (0.002, 0.002, 0.660)
Ni (0.059, 0.059, 0.880)
Ni (0.247, 0.247, 0.578)
Ni (0.353, 0.353, 0.962)
Ni (0.500, 0.500, 0.500)
Ni (0.647, 0.647, 0.038)
Ni (0.753, 0.753, 0.422)
Ni (0.941, 0.941, 0.120)
Ni (0.998, 0.998, 0.340)
O (0.000, 0.000, 0.000)
O (0.110, 0.110, 0.771)
O (0.131, 0.131, 0.466)
O (0.294, 0.294, 0.070)
O (0.374, 0.374, 0.680)
O (0.380, 0.380, 0.387)
O (0.420, 0.420, 0.860)
O (0.580, 0.580, 0.140)
O (0.620, 0.620, 0.613)
O (0.626, 0.626, 0.320)
O (0.706, 0.706, 0.930)
O (0.869, 0.869, 0.534)
O (0.890, 0.890, 0.229)



# CaNiO3
Simulated PXRD pattern, CuKα. Input: the PBE+U geometry in the Materials Project.
Intensities are scaled so that the largest is 100.

Peak list (10 most intense, 15 to 90 degrees two-theta, low angle first)
- d = 3.810 Å, 23.35°, I = 18
- d = 3.777 Å, 23.56°, I = 8
- d = 2.705 Å, 33.12°, I = 20
- d = 2.682 Å, 33.40°, I = 100
- d = 1.905 Å, 47.74°, I = 30
- d = 1.888 Å, 48.19°, I = 16
- d = 1.557 Å, 59.34°, I = 12
- d = 1.549 Å, 59.70°, I = 29
- d = 1.544 Å, 59.90°, I = 9
- d = 1.341 Å, 70.17°, I = 17

Lattice parameters (Å, degrees): 5.410 7.553 5.367 90.00 90.00 90.00
Positions (direct):
Ca (0.048, 0.250, 0.010)
Ca (0.452, 0.750, 0.510)
Ca (0.548, 0.250, 0.490)
Ca (0.952, 0.750, 0.990)
Ni (0.000, 0.000, 0.500)
Ni (0.000, 0.500, 0.500)
Ni (0.500, 0.000, 0.000)
Ni (0.500, 0.500, 0.000)
O (0.020, 0.750, 0.419)
O (0.208, 0.541, 0.795)
O (0.208, 0.959, 0.795)
O (0.292, 0.041, 0.295)
O (0.292, 0.459, 0.295)
O (0.480, 0.250, 0.919)
O (0.520, 0.750, 0.081)
O (0.708, 0.541, 0.705)
O (0.708, 0.959, 0.705)
O (0.792, 0.041, 0.205)
O (0.792, 0.459, 0.205)
O (0.980, 0.250, 0.581)



# Ca2NiOsO6
Simulated PXRD pattern, CuKα. Input: the PBE+U geometry in the Materials Project.
Intensities are scaled so that the largest is 100.

Peak list (10 most intense, 15 to 90 degrees two-theta, low angle first)
- d = 4.539 Å, 19.56°, I = 61
- d = 4.426 Å, 20.06°, I = 56
- d = 3.895 Å, 22.83°, I = 100
- d = 3.854 Å, 23.08°, I = 46
- d = 2.808 Å, 31.87°, I = 49
- d = 2.745 Å, 32.62°, I = 97
- d = 2.735 Å, 32.75°, I = 96
- d = 2.704 Å, 33.13°, I = 45
- d = 1.948 Å, 46.64°, I = 52
- d = 1.608 Å, 57.31°, I = 34

Lattice parameters (Å, degrees): 5.408 5.615 9.394 90.00 124.85 90.00
Positions (direct):
Ca (0.234, 0.059, 0.249)
Ca (0.234, 0.441, 0.749)
Ca (0.766, 0.559, 0.251)
Ca (0.766, 0.941, 0.751)
Ni (0.000, 0.000, 0.500)
Ni (0.000, 0.500, 0.000)
Os (0.500, 0.000, 0.000)
Os (0.500, 0.500, 0.500)
O (0.160, 0.192, 0.952)
O (0.160, 0.308, 0.452)
O (0.262, 0.711, 0.949)
O (0.262, 0.789, 0.449)
O (0.354, 0.030, 0.759)
O (0.354, 0.470, 0.259)
O (0.646, 0.530, 0.741)
O (0.646, 0.970, 0.241)
O (0.738, 0.211, 0.551)
O (0.738, 0.289, 0.051)
O (0.840, 0.692, 0.548)
O (0.840, 0.808, 0.048)



# CaNiP4O12
Simulated PXRD pattern, CuKα. Input: the PBE+U geometry in the Materials Project.
Intensities are scaled so that the largest is 100.

Peak list (10 most intense, 15 to 90 degrees two-theta, low angle first)
- d = 4.794 Å, 18.51°, I = 26
- d = 4.377 Å, 20.29°, I = 31
- d = 3.674 Å, 24.23°, I = 25
- d = 3.476 Å, 25.63°, I = 22
- d = 3.330 Å, 26.77°, I = 26
- d = 3.134 Å, 28.48°, I = 100
- d = 2.933 Å, 30.47°, I = 21
- d = 2.701 Å, 33.17°, I = 22
- d = 2.476 Å, 36.28°, I = 22
- d = 2.187 Å, 41.28°, I = 24

Lattice parameters (Å, degrees): 7.495 7.495 10.125 111.97 111.97 71.42
Positions (direct):
Ca (0.047, 0.953, 0.750)
Ca (0.953, 0.047, 0.250)
Ni (0.000, 0.500, 0.500)
Ni (0.500, 0.000, 0.000)
P (0.273, 0.720, 0.026)
P (0.280, 0.727, 0.474)
P (0.303, 0.320, 0.806)
P (0.320, 0.303, 0.306)
P (0.680, 0.697, 0.694)
P (0.697, 0.680, 0.194)
P (0.720, 0.273, 0.526)
P (0.727, 0.280, 0.974)
O (0.108, 0.832, 0.090)
O (0.137, 0.297, 0.334)
O (0.168, 0.892, 0.410)
O (0.193, 0.348, 0.656)
O (0.193, 0.684, 0.571)
O (0.230, 0.505, 0.933)
O (0.297, 0.137, 0.834)
O (0.316, 0.807, 0.929)
O (0.326, 0.530, 0.343)
O (0.348, 0.193, 0.156)
O (0.470, 0.674, 0.157)
O (0.495, 0.770, 0.567)
O (0.505, 0.230, 0.433)
O (0.530, 0.326, 0.843)
O (0.652, 0.807, 0.844)
O (0.674, 0.470, 0.657)
O (0.684, 0.193, 0.071)
O (0.703, 0.863, 0.166)
O (0.770, 0.495, 0.067)
O (0.807, 0.316, 0.429)
O (0.807, 0.652, 0.344)
O (0.832, 0.108, 0.590)
O (0.863, 0.703, 0.666)
O (0.892, 0.168, 0.910)



> Number 8 is which compound?

CaNiP4O12



> What is the formula in the seventh record?

Ca2NiOsO6